This entry pairs a crystal structure of In2FeF8 with its theoretical powder diffractogram. Radiation: Cu Ka. Structure: the GGA+U geometry in Alexandria.
No peak broadening, texture or thermal motion is included.

Principal peaks in the range 15° ≤ 2θ ≤ 90°, in order of rising 2θ:
| two_theta | d/Å | Rel. int. |
| --- | --- | --- |
| 18.61 | 4.767 | 63.3 |
| 21.23 | 4.185 | 100.0 |
| 23.03 | 3.862 | 41.9 |
| 28.70 | 3.110 | 36.4 |
| 30.05 | 2.974 | 25.9 |
| 36.44 | 2.465 | 15.4 |
| 43.24 | 2.092 | 23.2 |
| 47.06 | 1.931 | 27.0 |
| 51.12 | 1.787 | 15.2 |
| 53.19 | 1.722 | 11.7 |

Structural model:
```
data_In2FeF8
_symmetry_space_group_name_H-M 'C 1 2/m 1'
_symmetry_Int_Tables_number 12
_cell_length_a 18.6966
_cell_length_b 4.9308
_cell_length_c 4.1982
_cell_angle_alpha 90.00
_cell_angle_beta 94.48
_cell_angle_gamma 90.00
loop_
_symmetry_equiv_pos_as_xyz
'x,y,z'
'-x,-y,-z'
'-x,y,-z'
'x,-y,z'
'x+1/2,y+1/2,z'
'-x+1/2,-y+1/2,-z'
'-x+1/2,y+1/2,-z'
'x+1/2,-y+1/2,z'
loop_
_atom_site_label
_atom_site_fract_x
_atom_site_fract_y
_atom_site_fract_z
_atom_site_occupancy
In1 0.1727 0.0000 0.4761 1
Fe1 0.0000 0.0000 0.5000 1
F1 0.0811 0.2498 0.4575 1
F2 0.1766 0.0000 0.9787 1
F3 0.2163 0.5000 0.4852 1
```